Calculated powder diffractogram of Tb2Pm2Sn7 for Cu Kα X-rays, from a DFT-relaxed cell (GGA-PBE, Alexandria).
Lines closer than 0.1° are merged.

Largest 10 diffraction maxima, sorted by position, 2θ = 10–80°:
| 2theta | d/Å | intensity |
| --- | --- | --- |
| 20.45 | 4.343 | 35 |
| 23.04 | 3.860 | 82 |
| 27.91 | 3.197 | 28 |
| 32.88 | 2.724 | 86 |
| 35.79 | 2.509 | 100 |
| 36.51 | 2.461 | 37 |
| 39.37 | 2.288 | 28 |
| 40.56 | 2.224 | 61 |
| 45.90 | 1.977 | 24 |
| 52.19 | 1.753 | 22 |

Structural model:
```
Tb2Pm2Sn7
1.0
4.577 -5.452 0.000
4.577 5.452 0.000
0.000 0.000 7.183
Tb Pm Sn
2 2 7
direct
0.189 0.189 0.000
0.811 0.811 0.000
0.283 0.717 0.500
0.717 0.283 0.500
0.000 0.000 0.500
0.000 0.500 0.202
0.000 0.500 0.798
0.500 0.000 0.202
0.500 0.000 0.798
0.500 0.500 0.198
0.500 0.500 0.802
```